[1]
This entry pairs a crystal structure of Li5Mn2CoO8 with its computed X-ray diffraction stick pattern. Radiation: Cu Kα. Structure: the GGA+U geometry in the Materials Project.

Structural model:
```
data_Li5Mn2CoO8
_cell_length_a 2.8882
_cell_length_b 5.8833
_cell_length_c 8.3616
_cell_angle_alpha 90.40
_cell_angle_beta 90.41
_cell_angle_gamma 91.00
_space_group_name_H-M_alt 'P -1'
_space_group_IT_number 2
loop_
_space_group_symop_operation_xyz
'x,y,z'
'-x,-y,-z'
loop_
_atom_site_label
_atom_site_fract_x
_atom_site_fract_y
_atom_site_fract_z
Li1 0.0000 0.0000 0.0000
Li2 0.0000 0.0000 0.5000
Li3 0.0000 0.5000 0.0000
Li4 0.4982 0.7571 0.2201
Mn1 0.4928 0.7532 0.7626
Co1 0.0000 0.5000 0.5000
O1 0.0007 0.0272 0.2504
O2 0.0133 0.4773 0.2523
O3 0.4767 0.7332 0.5151
O4 0.4994 0.7489 0.9793
```

Main lines, by angle (2θ = 15–90°):
two_theta, intensity, hkl
15.06, 159, 0 1 0
18.38, 1000, 0 1 -1
18.50, 109, 0 1 1
35.75, 117, 0 1 3
36.01, 134, -1 1 1
36.62, 115, 1 1 1
43.28, 297, 0 0 4
43.54, 311, 1 -2 0
44.34, 293, 1 2 0
63.07, 156, 1 -2 4


[2]
This entry pairs a crystal structure of Li7Mn2Co3O12 with its computed X-ray diffraction stick pattern. Radiation: Cu Kα. Structure: the GGA+U geometry in the Materials Project.

Structural model:
```
data_Li7Mn2Co3O12
_cell_length_a 5.8996
_cell_length_b 6.4964
_cell_length_c 6.4973
_cell_angle_alpha 97.15
_cell_angle_beta 103.37
_cell_angle_gamma 115.00
_space_group_name_H-M_alt 'P 1'
_space_group_IT_number 1
loop_
_space_group_symop_operation_xyz
'x,y,z'
loop_
_atom_site_label
_atom_site_fract_x
_atom_site_fract_y
_atom_site_fract_z
Li1 0.0000 0.0000 0.0000
Li2 0.0052 0.3325 0.3230
Li3 0.0118 0.6647 0.6662
Li4 0.2486 0.5017 0.9971
Li5 0.4841 0.6624 0.6617
Li6 0.4907 0.3360 0.3193
Li7 0.5058 0.9974 0.9985
Mn1 0.2542 0.1700 0.6618
Mn2 0.7473 0.5026 0.9964
Co1 0.2505 0.8291 0.3271
Co2 0.7349 0.8230 0.3243
Co3 0.7649 0.1703 0.6634
O1 0.0965 0.7314 0.0112
O2 0.1247 0.3944 0.6572
O3 0.1407 0.0719 0.3442
O4 0.3749 0.9296 0.6462
O5 0.3760 0.6064 0.3318
O6 0.3916 0.2591 0.9746
O7 0.6105 0.4064 0.6757
O8 0.6388 0.0716 0.3413
O9 0.6395 0.7450 0.0085
O10 0.8473 0.5827 0.3091
O11 0.8573 0.2567 0.9759
O12 0.9082 0.9357 0.6515
```

Main lines, by angle (2θ = 15–90°):
two_theta, intensity, hkl
18.41, 1000, 0 1 -1
35.39, 152, 2 0 0
36.40, 124, -2 2 1
36.69, 119, 0 1 2
42.65, 306, 2 1 -1
44.23, 273, 2 -3 0
44.43, 268, 0 0 3
62.89, 76, 2 1 -4
63.07, 75, -4 2 1
63.18, 78, 0 4 -1


[3]
This entry pairs a crystal structure of Li4MnCo2O7 with its computed X-ray diffraction stick pattern. Radiation: Cu Kα. Structure: the GGA+U geometry in the Materials Project.

Structural model:
```
data_Li4MnCo2O7
_cell_length_a 5.0947
_cell_length_b 7.6498
_cell_length_c 7.7334
_cell_angle_alpha 60.75
_cell_angle_beta 78.34
_cell_angle_gamma 71.84
_space_group_name_H-M_alt 'P 1'
_space_group_IT_number 1
loop_
_space_group_symop_operation_xyz
'x,y,z'
loop_
_atom_site_label
_atom_site_fract_x
_atom_site_fract_y
_atom_site_fract_z
Li1 0.0000 0.0000 0.0000
Li2 0.0003 0.2883 0.5746
Li3 0.0026 0.5777 0.1409
Li4 0.0053 0.7057 0.4378
Li5 0.0059 0.4378 0.8454
Li6 0.0092 0.1393 0.2841
Li7 0.0176 0.8548 0.7094
Li8 0.5097 0.5728 0.6406
Mn1 0.5043 0.4297 0.3590
Mn2 0.5092 0.2849 0.0682
Co1 0.4964 0.1489 0.7822
Co2 0.5052 0.8508 0.2258
Co3 0.5062 0.7178 0.9193
Co4 0.5138 0.9966 0.5016
O1 0.2650 0.0020 0.7556
O2 0.2724 0.4235 0.5890
O3 0.2755 0.1504 0.0336
O4 0.2776 0.6958 0.1913
O5 0.2817 0.5592 0.9102
O6 0.2902 0.8696 0.4526
O7 0.2952 0.2764 0.3153
O8 0.7237 0.8535 0.9734
O9 0.7261 0.2783 0.8357
O10 0.7274 0.1542 0.5295
O11 0.7295 0.4227 0.1153
O12 0.7383 0.5627 0.3856
O13 0.7401 0.0158 0.2350
O14 0.7419 0.7360 0.6729
```

Main lines, by angle (2θ = 15–90°):
two_theta, intensity, hkl
18.36, 1000, 1 0 0
35.87, 275, 0 1 3
36.51, 124, 1 3 2
43.31, 285, -1 1 3
43.48, 284, 1 -2 1
44.21, 266, 2 3 2
47.79, 86, -1 3 2
63.04, 149, -2 3 2
63.10, 76, 0 1 -4
64.15, 146, 1 4 5


[4]
This entry pairs a crystal structure of Li2Mn2CoO6 with its computed X-ray diffraction stick pattern. Radiation: Cu Kα. Structure: the GGA+U geometry in the Materials Project.

Structural model:
```
data_Li2Mn2CoO6
_cell_length_a 8.8313
_cell_length_b 5.0687
_cell_length_c 10.2765
_cell_angle_alpha 90.00
_cell_angle_beta 90.00
_cell_angle_gamma 90.00
_space_group_name_H-M_alt 'C m c e'
_space_group_IT_number 64
_space_group_name_Hall '-C 2ac 2'
loop_
_atom_site_label
_atom_site_fract_x
_atom_site_fract_y
_atom_site_fract_z
Li1 0.2500 0.0802 0.2500
Mn1 0.1630 0.0000 0.0000
Co1 0.0000 0.0000 0.5000
O1 0.0000 0.1483 0.9015
O2 0.1825 0.1791 0.6052
```

Main lines, by angle (2θ = 15–90°):
two_theta, intensity, hkl
17.26, 1000, 0 0 2
35.42, 70, 0 2 0
36.36, 292, 3 1 1
39.51, 76, 3 1 2
39.65, 148, 0 2 2
44.33, 311, 3 1 3
50.59, 137, 0 2 4
57.64, 171, 3 1 5
64.20, 143, 3 3 1
74.61, 67, 3 1 7


[5]
This entry pairs a crystal structure of Li2MnCoO4 with its computed X-ray diffraction stick pattern. Radiation: Cu Kα. Structure: the GGA+U geometry in the Materials Project.

Structural model:
```
data_Li2MnCoO4
_cell_length_a 5.0599
_cell_length_b 5.1335
_cell_length_c 5.9526
_cell_angle_alpha 72.87
_cell_angle_beta 89.93
_cell_angle_gamma 80.62
_space_group_name_H-M_alt 'P -1'
_space_group_IT_number 2
loop_
_space_group_symop_operation_xyz
'x,y,z'
'-x,-y,-z'
loop_
_atom_site_label
_atom_site_fract_x
_atom_site_fract_y
_atom_site_fract_z
Li1 0.0000 0.0000 0.0000
Li2 0.0000 0.0000 0.5000
Li3 0.4963 0.0020 0.2460
Mn1 0.2494 0.5008 0.3737
Co1 0.2502 0.4994 0.8805
O1 0.1082 0.2752 0.6653
O2 0.1351 0.2688 0.2051
O3 0.3633 0.7362 0.0861
O4 0.3942 0.7214 0.5547
```

Main lines, by angle (2θ = 15–90°):
two_theta, intensity, hkl
18.35, 1000, 0 1 0
35.54, 291, 1 0 -2
36.02, 141, 2 0 0
37.18, 148, 0 2 0
43.12, 265, 1 2 2
43.32, 262, 1 1 -2
43.59, 257, 2 -1 0
62.40, 72, 0 1 4
63.39, 139, 3 1 2
66.56, 71, 3 2 2


[6]
This entry pairs a crystal structure of Li7Mn2Co3O12 with its computed X-ray diffraction stick pattern. Radiation: Cu Kα. Structure: the GGA+U geometry in the Materials Project.

Structural model:
```
data_Li7Mn2Co3O12
_cell_length_a 12.5945
_cell_length_b 2.9390
_cell_length_c 11.9336
_cell_angle_alpha 90.00
_cell_angle_beta 103.48
_cell_angle_gamma 90.00
_space_group_name_H-M_alt 'C 1 m 1'
_space_group_IT_number 8
loop_
_space_group_symop_operation_xyz
'x,y,z'
'x,-y,z'
'x+1/2,y+1/2,z'
'x+1/2,-y+1/2,z'
loop_
_atom_site_label
_atom_site_fract_x
_atom_site_fract_y
_atom_site_fract_z
Li1 0.0000 0.0000 0.0000
Li2 0.0015 0.0000 0.5096
Li3 0.1632 0.5000 0.6802
Li4 0.1739 0.5000 0.1643
Li5 0.3300 0.0000 0.3249
Li6 0.3308 0.0000 0.0886
Li7 0.3323 0.0000 0.8500
Mn1 0.3331 0.0000 0.5882
Mn2 0.4938 0.5000 0.2498
Co1 0.0017 0.0000 0.7593
Co2 0.1646 0.5000 0.4182
Co3 0.1738 0.5000 0.9277
O1 0.0019 0.5000 0.1475
O2 0.0042 0.5000 0.3682
O3 0.0125 0.5000 0.8823
O4 0.1613 0.0000 0.3043
O5 0.1655 0.0000 0.0369
O6 0.1673 0.0000 0.8045
O7 0.1721 0.0000 0.5387
O8 0.3188 0.5000 0.9583
O9 0.3287 0.5000 0.4754
O10 0.3299 0.5000 0.6943
O11 0.3457 0.5000 0.2201
O12 0.4875 0.0000 0.6255
```

Main lines, by angle (2θ = 15–90°):
two_theta, intensity, hkl
18.45, 1000, 2 0 -2
35.77, 273, 1 1 2
36.22, 127, 4 0 2
43.21, 604, 1 1 -4
44.38, 268, 6 0 0
48.09, 84, 5 1 -2
57.08, 99, 3 1 -6
63.29, 87, 0 2 0
63.57, 148, 5 1 4
63.76, 151, 7 1 -4